[1]
Starting from a cell relaxed with GGA-PBE, the PXRD pattern of Tl6Cd2Hg3 was computed for Cu Kα X-rays.

Principal peaks in the range 2θ = 10–80°, low angle first:
d = 3.163 Å, I = 418
d = 2.832 Å, I = 436
d = 2.795 Å, I = 955
d = 2.761 Å, I = 908
d = 2.725 Å, I = 280
d = 2.710 Å, I = 422
d = 2.636 Å, I = 1000
d = 2.524 Å, I = 206
d = 2.415 Å, I = 255
d = 2.206 Å, I = 202

Cell and atoms:
```
Tl6Cd2Hg3
1.0
6.4063 0.0000 0.0000
3.0143 5.6834 0.0000
1.3592 0.7465 8.8191
Tl Cd Hg
6 2 3
direct
0.0538 0.2833 0.3860
0.1852 0.7537 0.2109
0.2609 0.2602 0.0058
0.7391 0.7398 0.9942
0.8148 0.2463 0.7891
0.9462 0.7167 0.6140
0.3999 0.1067 0.6586
0.6001 0.8933 0.3414
0.2904 0.7359 0.8415
0.5000 0.5000 0.5000
0.7096 0.2641 0.1585
```

=====

[2]
Starting from a cell relaxed with GGA-PBE, the PXRD pattern of UTlHSe2O8 was computed for Cu Kα X-rays.

Principal peaks in the range 2θ = 10–80°, low angle first:
d = 6.397 Å, I = 556
d = 5.436 Å, I = 526
d = 4.014 Å, I = 813
d = 3.959 Å, I = 683
d = 3.636 Å, I = 1000
d = 3.415 Å, I = 828
d = 3.245 Å, I = 548
d = 3.106 Å, I = 494
d = 3.070 Å, I = 661
d = 2.627 Å, I = 435

Cell and atoms:
```
UTlHSe2O8
1.0
8.6418 0.0000 0.0000
0.0000 10.3115 0.0000
-7.9596 0.0000 10.2648
U Tl H Se O
4 4 4 8 32
direct
0.1873 0.2065 0.3074
0.1873 0.2935 0.8074
0.8127 0.7065 0.1926
0.8127 0.7935 0.6926
0.2754 0.5424 0.5488
0.2754 0.9576 0.0488
0.7246 0.0424 0.9512
0.7246 0.4576 0.4512
0.4031 0.6487 0.1679
0.4031 0.8513 0.6679
0.5969 0.1487 0.3321
0.5969 0.3513 0.8321
0.1838 0.5297 0.1820
0.1838 0.9703 0.6820
0.2950 0.6267 0.9106
0.2950 0.8733 0.4106
0.7050 0.1267 0.5894
0.7050 0.3733 0.0894
0.8162 0.0297 0.3180
0.8162 0.4703 0.8180
0.0755 0.6788 0.8735
0.0755 0.8212 0.3735
0.1160 0.6031 0.2666
0.1160 0.8969 0.7666
0.1820 0.1001 0.1920
0.1820 0.3999 0.6920
0.1847 0.1977 0.9246
0.1847 0.3023 0.4246
0.2875 0.0333 0.4498
0.2875 0.4667 0.9498
0.3168 0.1015 0.7773
0.3168 0.3985 0.2773
0.3878 0.6357 0.2384
0.3878 0.8643 0.7384
0.4553 0.6944 0.0648
0.4553 0.8056 0.5648
0.5447 0.1944 0.4352
0.5447 0.3056 0.9352
0.6122 0.1357 0.2616
0.6122 0.3643 0.7616
0.6832 0.6015 0.7227
0.6832 0.8985 0.2227
0.7125 0.5333 0.0502
0.7125 0.9667 0.5502
0.8153 0.6977 0.5754
0.8153 0.8023 0.0754
0.8180 0.6001 0.3080
0.8180 0.8999 0.8080
0.8840 0.1031 0.2334
0.8840 0.3969 0.7334
0.9245 0.1788 0.6265
0.9245 0.3212 0.1265
```

=====

[3]
Starting from a cell relaxed with GGA-PBE, the PXRD pattern of Pm4Pr2YHo2 was computed for Cu Kα X-rays.

Principal peaks in the range 2θ = 10–80°, low angle first:
d = 2.964 Å, I = 1000
d = 2.572 Å, I = 339
d = 2.557 Å, I = 167
d = 1.818 Å, I = 121
d = 1.813 Å, I = 240
d = 1.550 Å, I = 288
d = 1.544 Å, I = 142
d = 1.482 Å, I = 124
d = 1.286 Å, I = 20
d = 1.285 Å, I = 19

Cell and atoms:
```
Pm4Pr2YHo2
1.0
7.7170 -2.5707 0.0000
7.7170 2.5707 0.0000
-2.5773 0.0000 7.6712
Pm Pr Y Ho
4 2 1 2
direct
0.0557 0.0557 0.3311
0.2784 0.2784 0.6694
0.7216 0.7216 0.3306
0.9443 0.9443 0.6689
0.3881 0.3881 0.3314
0.6119 0.6119 0.6686
0.5000 0.5000 0.0000
0.1669 0.1669 0.0002
0.8331 0.8331 0.9998
```

=====

[4]
Starting from a cell relaxed with GGA-PBE, the PXRD pattern of Pm8ErIn2 was computed for Cu Kα X-rays.

Principal peaks in the range 2θ = 10–80°, low angle first:
d = 3.146 Å, I = 550
d = 3.028 Å, I = 261
d = 2.956 Å, I = 799
d = 2.820 Å, I = 1000
d = 2.772 Å, I = 561
d = 2.699 Å, I = 957
d = 2.662 Å, I = 488
d = 2.640 Å, I = 344
d = 2.559 Å, I = 831
d = 1.794 Å, I = 268

Cell and atoms:
```
Pm8ErIn2
1.0
8.6864 -3.3876 0.0000
8.6864 3.3876 0.0000
-1.3982 0.0000 6.0437
Pm Er In
8 1 2
direct
0.0017 0.0017 0.2417
0.0677 0.5875 0.3902
0.3653 0.3653 0.9235
0.4125 0.9323 0.6098
0.5875 0.0677 0.3902
0.6347 0.6347 0.0765
0.9323 0.4125 0.6098
0.9983 0.9983 0.7583
0.5000 0.5000 0.5000
0.1790 0.1790 0.1041
0.8210 0.8210 0.8959
```

=====

[5]
Starting from a cell relaxed with GGA-PBE, the PXRD pattern of InHgPb2 was computed for Cu Kα X-rays.

Principal peaks in the range 2θ = 10–80°, low angle first:
d = 3.041 Å, I = 843
d = 3.022 Å, I = 1000
d = 2.677 Å, I = 759
d = 2.648 Å, I = 936
d = 2.628 Å, I = 796
d = 2.429 Å, I = 611
d = 2.312 Å, I = 528
d = 1.799 Å, I = 479
d = 1.675 Å, I = 523
d = 1.414 Å, I = 225

Cell and atoms:
```
InHgPb2
1.0
4.6239 0.0000 0.0000
0.0000 4.8571 0.0000
-2.1930 0.0000 10.7065
In Hg Pb
2 2 4
direct
0.1736 0.2500 0.3663
0.8264 0.7500 0.6337
0.3312 0.2500 0.6398
0.6688 0.7500 0.3602
0.0629 0.7500 0.1294
0.4375 0.7500 0.8728
0.5625 0.2500 0.1272
0.9371 0.2500 0.8706
```